The following is a calculated powder diffraction line list of La2FeO5. It was derived from the PBE+U geometry in Alexandria, using CuKα.
Neutral-atom scattering factors, no anomalous dispersion.

Main lines, in order of rising 2θ (2θ = 15–90°):
| 2θ (°) | Rel. int. |
| --- | --- |
| 24.8 | 25 |
| 27.8 | 100 |
| 28.5 | 66 |
| 28.9 | 49 |
| 32.7 | 35 |
| 33.4 | 14 |
| 43.0 | 19 |
| 46.0 | 24 |
| 46.7 | 28 |
| 55.0 | 21 |

Cell and atoms:
Lattice parameters (Å, degrees): 11.056 3.948 11.383 90.00 90.00 90.00
Element x y z (fractional)
La (0.084, 0.250, 0.214)
La (0.136, 0.250, 0.565)
La (0.364, 0.750, 0.065)
La (0.416, 0.750, 0.714)
La (0.584, 0.250, 0.286)
La (0.636, 0.250, 0.935)
La (0.864, 0.750, 0.435)
La (0.916, 0.750, 0.786)
Fe (0.202, 0.250, 0.871)
Fe (0.298, 0.750, 0.371)
Fe (0.702, 0.250, 0.629)
Fe (0.798, 0.750, 0.129)
O (0.013, 0.750, 0.599)
O (0.044, 0.250, 0.814)
O (0.213, 0.750, 0.228)
O (0.218, 0.250, 0.033)
O (0.247, 0.750, 0.875)
O (0.253, 0.250, 0.375)
O (0.282, 0.750, 0.533)
O (0.287, 0.250, 0.728)
O (0.456, 0.750, 0.314)
O (0.487, 0.250, 0.099)
O (0.513, 0.750, 0.901)
O (0.544, 0.250, 0.686)
O (0.713, 0.750, 0.272)
O (0.718, 0.250, 0.467)
O (0.747, 0.750, 0.625)
O (0.753, 0.250, 0.125)
O (0.782, 0.750, 0.967)
O (0.787, 0.250, 0.772)
O (0.956, 0.750, 0.186)
O (0.987, 0.250, 0.401)